The following is a theoretical X-ray powder pattern of KY. It was derived from the PBE geometry in Alexandria, using Cu Kα, 1.54184 Å.

```
KY
1.0
3.666 0.000 0.000
-1.833 3.175 0.000
0.000 0.000 21.562
K Y
3 3
Direct
0.000 0.000 0.000
0.333 0.667 0.667
0.667 0.333 0.333
0.000 0.000 0.500
0.333 0.667 0.167
0.667 0.333 0.833
```

Main lines, by angle (2θ = 10–80°):
| Position (°2θ) | intensity |
| --- | --- |
| 12.31 | 35 |
| 24.78 | 52 |
| 29.32 | 100 |
| 32.73 | 74 |
| 44.07 | 31 |
| 49.74 | 21 |
| 51.21 | 19 |
| 56.34 | 29 |



The following is a theoretical X-ray powder pattern of Pb2I2O7. It was derived from the PBE geometry in Alexandria, using Cu Kα, 1.54184 Å.

```
Pb2I2O7
1.0
5.133 0.000 0.000
0.000 13.360 0.000
-0.496 0.000 6.089
Pb I O
4 4 14
Direct
0.163 0.000 0.089
0.176 0.796 0.543
0.824 0.296 0.457
0.837 0.500 0.911
0.331 0.525 0.447
0.388 0.290 0.936
0.612 0.790 0.064
0.669 0.025 0.553
0.022 0.463 0.342
0.062 0.342 0.840
0.235 0.565 0.716
0.276 0.647 0.303
0.283 0.214 0.167
0.442 0.892 0.339
0.461 0.890 0.881
0.539 0.390 0.119
0.558 0.392 0.661
0.717 0.714 0.833
0.724 0.147 0.697
0.765 0.065 0.284
0.938 0.842 0.160
0.978 0.963 0.658
```

Main lines, by angle (2θ = 10–80°):
| Position (°2θ) | intensity |
| --- | --- |
| 22.77 | 38 |
| 24.54 | 79 |
| 25.57 | 100 |
| 26.69 | 56 |
| 29.68 | 34 |
| 30.10 | 34 |
| 31.09 | 74 |
| 35.74 | 39 |



The following is a theoretical X-ray powder pattern of Ac2Sm3Ho6. It was derived from the PBE geometry in Alexandria, using Cu Kα, 1.54184 Å.

```
Ac2Sm3Ho6
1.0
3.112 -5.395 0.000
3.112 5.395 0.000
-2.071 0.000 11.793
Ac Sm Ho
2 3 6
Direct
0.167 0.833 0.000
0.833 0.167 0.000
0.000 0.000 0.500
0.335 0.665 0.500
0.665 0.335 0.500
0.081 0.414 0.742
0.254 0.254 0.258
0.414 0.081 0.742
0.586 0.919 0.258
0.746 0.746 0.742
0.919 0.586 0.258
```

Main lines, by angle (2θ = 10–80°):
| Position (°2θ) | intensity |
| --- | --- |
| 30.32 | 33 |
| 30.44 | 100 |
| 35.25 | 67 |
| 50.63 | 24 |
| 50.79 | 24 |
| 60.16 | 14 |
| 60.32 | 38 |
| 63.34 | 12 |



The following is a theoretical X-ray powder pattern of CaPd4O8. It was derived from the PBE geometry in Alexandria, using Cu Kα, 1.54184 Å.

```
CaPd4O8
1.0
3.149 1.818 5.553
-3.149 1.818 5.553
0.000 -3.636 5.553
Ca Pd O
1 4 8
Direct
0.000 0.000 0.000
0.000 0.000 0.500
0.000 0.500 0.000
0.500 0.000 0.000
0.500 0.500 0.500
0.206 0.742 0.742
0.226 0.226 0.226
0.258 0.258 0.794
0.258 0.794 0.258
0.742 0.206 0.742
0.742 0.742 0.206
0.774 0.774 0.774
0.794 0.258 0.258
```

Main lines, by angle (2θ = 10–80°):
| Position (°2θ) | intensity |
| --- | --- |
| 15.96 | 100 |
| 33.30 | 34 |
| 34.61 | 27 |
| 39.50 | 52 |
| 50.93 | 17 |
| 55.53 | 15 |
| 58.64 | 15 |
| 61.19 | 15 |